1.
# Rh6C7
Calculated powder X-ray diffraction pattern, a wavelength of 1.5418 Å. Input: a crystal structure in Alexandria, relaxed with GGA-PBE.
Neutral-atom scattering factors, no anomalous dispersion.

The 10 most intense peaks (2θ from 10° to 80°), sorted by position:
23.9 deg, d = 3.724 Å, I = 19, hkl 1 0 1; 24.6 deg, d = 3.614 Å, I = 42, hkl 0 1 2; 36.6 deg, d = 2.457 Å, I = 77, hkl 0 1 8; 41.6 deg, d = 2.172 Å, I = 100, hkl 1 1 0; 42.3 deg, d = 2.137 Å, I = 70, hkl 1 0 10; 56.5 deg, d = 1.628 Å, I = 24, hkl 2 0 8; 60.8 deg, d = 1.523 Å, I = 23, hkl 0 2 10; 72.6 deg, d = 1.303 Å, I = 18, hkl 1 2 8; 76.4 deg, d = 1.247 Å, I = 20, hkl 2 1 10; 79.8 deg, d = 1.201 Å, I = 25, hkl 1 1 18

Crystal structure
```
data_Rh6C7
_chemical_formula_sum 'Rh18 C21'
_space_group_name_H-M_alt 'R -3 m'
_space_group_IT_number 166
_space_group_name_Hall '-R 3 2"'
_cell_length_a 4.3448
_cell_length_b 4.3448
_cell_length_c 25.9587
_cell_angle_alpha 90.00
_cell_angle_beta 90.00
_cell_angle_gamma 120.00
loop_
_atom_site_label
_atom_site_type_symbol
_atom_site_fract_x
_atom_site_fract_y
_atom_site_fract_z
Rh1 Rh 0.0000 0.0000 0.0835
Rh2 Rh 0.0000 0.0000 0.1979
Rh3 Rh 0.0000 0.0000 0.3036
C1 C 0.0000 0.0000 0.5000
C2 C 0.1013 0.5506 0.0784
```


2.
# LiNp2RhO8
Calculated powder X-ray diffraction pattern, a wavelength of 1.5418 Å. Input: a crystal structure in Alexandria, relaxed with GGA-PBE.
Neutral-atom scattering factors, no anomalous dispersion.

The 10 most intense peaks (2θ from 10° to 80°), sorted by position:
19.4 deg, d = 4.584 Å, I = 59, hkl 1 0 1; 30.2 deg, d = 2.964 Å, I = 100, hkl 1 1 2; 31.3 deg, d = 2.860 Å, I = 18, hkl 1 0 3; 35.1 deg, d = 2.556 Å, I = 20, hkl 2 0 0; 40.4 deg, d = 2.232 Å, I = 18, hkl 2 1 1; 47.7 deg, d = 1.906 Å, I = 12, hkl 2 1 3; 50.2 deg, d = 1.819 Å, I = 36, hkl 2 0 4; 50.5 deg, d = 1.807 Å, I = 18, hkl 2 2 0; 59.3 deg, d = 1.557 Å, I = 15, hkl 1 1 6; 59.9 deg, d = 1.543 Å, I = 29, hkl 3 1 2

Crystal structure
```
data_LiNp2RhO8
_chemical_formula_sum 'Li2 Np4 Rh2 O16'
_space_group_name_H-M_alt 'I -4 m 2'
_space_group_IT_number 119
_space_group_name_Hall 'I -4 -2'
_cell_length_a 5.1121
_cell_length_b 5.1121
_cell_length_c 10.3540
_cell_angle_alpha 90.00
_cell_angle_beta 90.00
_cell_angle_gamma 90.00
loop_
_atom_site_label
_atom_site_type_symbol
_atom_site_fract_x
_atom_site_fract_y
_atom_site_fract_z
Li1 Li 0.0000 0.0000 0.0000
Np1 Np 0.0000 0.0000 0.5000
Np2 Np 0.0000 0.5000 0.7500
Rh1 Rh 0.0000 0.5000 0.2500
O1 O 0.2437 0.2453 0.3717
```